# Ti3Mn2Cr3O16
Calculated powder diffraction line list, a wavelength of 1.5418 Å. Input: a cell relaxed with PBE+U.

Most intense lines, 10 to 90 degrees two-theta, in order of rising 2θ:
h k l, two_theta, I_rel
0 0 2, 19.84, 1000
1 0 -1, 19.93, 319
1 0 1, 20.10, 939
0 1 2, 26.64, 201
1 -2 2, 36.42, 325
2 -1 2, 36.71, 471
0 2 2, 40.81, 269
0 2 -3, 46.50, 240
2 -2 3, 46.91, 250
2 2 0, 63.01, 333

Cell and atoms:
Unit cell a=5.872 b=5.894 c=8.961 alpha=90.41 beta=90.44 gamma=119.80
Space group P1 (No. 1)
Unique sites:
Ti: 0.000 0.000 0.000 (multiplicity 1)
Ti: 0.001 0.501 0.004 (multiplicity 1)
Ti: 0.839 0.655 0.489 (multiplicity 1)
Mn: 0.506 0.499 0.773 (multiplicity 1)
Mn: 0.833 0.169 0.274 (multiplicity 1)
Cr: 0.331 0.169 0.491 (multiplicity 1)
Cr: 0.353 0.679 0.513 (multiplicity 1)
Cr: 0.502 0.000 0.992 (multiplicity 1)
O: 0.118 0.308 0.138 (multiplicity 1)
O: 0.171 0.835 0.601 (multiplicity 1)
O: 0.171 0.836 0.104 (multiplicity 1)
O: 0.221 0.360 0.633 (multiplicity 1)
O: 0.348 0.666 0.899 (multiplicity 1)
O: 0.349 0.177 0.897 (multiplicity 1)
O: 0.496 0.514 0.390 (multiplicity 1)
O: 0.509 0.018 0.398 (multiplicity 1)
O: 0.641 0.789 0.638 (multiplicity 1)
O: 0.643 0.361 0.629 (multiplicity 1)
O: 0.689 0.305 0.132 (multiplicity 1)
O: 0.690 0.887 0.132 (multiplicity 1)
O: 0.823 0.659 0.897 (multiplicity 1)
O: 0.845 0.171 0.887 (multiplicity 1)
O: 0.994 0.010 0.399 (multiplicity 1)
O: 0.997 0.494 0.392 (multiplicity 1)